(1)
Structure and computed powder XRD pattern of Li7Mn5O12 (DFT lattice parameters and positions (PBE+U); Cu Kα).

Structure:
```
Li7Mn5O12
1.0
6.0403 0.0000 0.0000
-2.9343 8.1737 0.0000
-0.7262 -4.0032 8.9783
Li Mn O
14 10 24
Cartesian
0.0000 0.0000 0.0000
-2.0954 2.1360 7.4991
-0.2262 0.1143 3.0257
1.1438 -1.9799 4.5115
-0.6081 0.0645 8.8755
1.3658 1.9840 1.4241
-0.4938 4.1354 6.1031
1.1899 2.0852 4.4891
2.8737 0.0350 2.8752
1.0141 2.1864 7.5541
2.9880 4.1060 0.1027
1.2361 6.1503 4.4668
2.6060 4.0561 5.9525
4.4752 2.0344 1.4792
-1.8302 2.0852 4.4891
-1.5711 6.1685 1.4616
-0.3962 0.0699 5.9486
0.8659 -1.9993 7.5291
-0.2047 4.1070 3.0314
3.0201 0.0000 0.0000
2.5846 0.0634 5.9469
1.5140 6.1698 1.4491
2.7761 4.1006 3.0297
3.9510 -1.9981 7.5166
-1.7217 4.1751 1.7326
-0.3846 -1.8896 6.0230
-1.9495 4.0208 4.4849
-0.8199 -1.9193 8.9353
-0.3826 2.1812 3.1509
-1.9601 4.2419 7.5495
-0.5017 1.9914 5.9054
1.5809 -0.0584 1.3524
1.0702 0.0424 4.7001
0.1788 6.2279 0.0175
-0.2657 6.0587 2.9470
0.8687 0.0055 7.4139
1.5112 4.1650 1.5644
2.6456 -1.8882 6.0313
2.2010 -2.0574 8.9608
1.3097 4.1280 4.2782
0.7990 4.2288 7.6259
2.8816 2.1791 3.0728
4.3400 -0.0714 1.4288
2.7624 1.9892 5.8274
3.1998 6.0898 0.0430
4.3294 0.1497 4.4933
2.7645 6.0600 2.9553
4.1016 -0.0046 7.2457
```

Main lines, by angle (10° ≤ 2θ ≤ 90°):
2θ/deg  I (rel.)
18.3  100
34.0  16
36.3  12
36.4  12
40.9  34
44.3  55
61.6  8
61.8  8
61.9  8
63.9  9



(2)
Structure and computed powder XRD pattern of Li3Fe8B8O24 (DFT lattice parameters and positions (PBE+U); Cu Kα).

Structure:
```
Li3Fe8B8O24
1.0
5.3011 0.0000 0.0000
0.0668 9.0738 0.0000
0.1174 0.0877 10.1105
Li Fe B O
3 8 8 24
Cartesian
0.0000 0.0000 0.0000
1.0593 4.6243 2.8494
2.6872 4.4818 0.0026
0.0916 3.1768 5.3903
0.0526 6.0217 0.3099
1.0480 7.7121 2.8373
1.1319 1.6784 7.8666
2.8150 7.6805 5.3403
2.7193 1.4691 0.3221
3.6792 3.0658 2.8646
3.8059 6.1972 7.8666
0.0916 3.0654 0.3677
0.2078 6.2156 5.2699
1.0102 1.6397 2.7982
1.1250 7.6653 7.9290
2.7507 7.5827 0.3206
2.7761 1.5929 5.3481
3.6650 6.1125 2.8436
3.7514 3.1382 7.9651
0.3444 6.5880 8.3426
0.3062 2.8016 3.1482
0.4208 0.4204 2.8003
0.7193 8.9346 8.1920
0.7132 4.9986 5.0351
0.7680 1.9721 9.9793
0.8962 7.3839 4.8607
0.8483 4.2087 0.5086
1.4190 7.5803 0.8030
1.5295 1.7937 5.9300
2.3568 7.4063 7.3221
2.3234 1.7971 2.3792
2.9750 2.0536 8.3492
2.9569 7.2373 3.2648
3.0365 4.8961 2.7436
3.2662 4.4081 8.1521
3.4010 6.4548 9.9564
3.3392 0.3561 5.3026
3.4472 2.6970 4.8072
3.5047 8.7062 0.2999
4.0458 3.0718 0.7600
4.2483 6.4170 5.8783
5.0207 2.9447 7.4617
5.0162 6.2461 2.4838
```

Main lines, by angle (10° ≤ 2θ ≤ 90°):
2θ/deg  I (rel.)
19.6  61
21.4  100
26.0  30
26.2  26
26.4  39
33.8  21
34.0  28
34.2  23
35.5  69
40.5  20



(3)
Structure and computed powder XRD pattern of FeC2O6 (DFT lattice parameters and positions (PBE+U); Cu Kα).

Structure:
```
FeC2O6
1.0
4.8252 0.0000 0.0000
0.0050 8.3466 0.0000
2.4071 1.3794 11.2648
Fe C O
4 8 24
Cartesian
1.2061 3.4760 2.8160
3.6152 2.0774 8.4480
3.6221 7.6486 2.8168
6.0312 6.2500 8.4488
1.1984 6.2716 3.9702
1.2149 0.6795 1.6650
3.6229 4.8375 9.5957
3.6124 7.6641 7.3002
3.6249 2.0618 3.9646
3.6145 4.8885 1.6691
6.0224 9.0464 9.5998
6.0389 3.4544 7.2946
0.4347 8.0035 1.6778
2.3599 5.0426 9.5852
0.7510 1.8740 1.6341
1.6622 5.0777 3.9985
2.4903 3.2649 7.2666
1.9828 7.2938 3.9539
2.7837 6.6822 7.2523
2.3622 2.2679 3.9540
3.1378 8.8666 7.2928
4.0980 3.6354 9.6030
2.4915 0.4893 1.6370
4.4512 5.8199 9.6423
2.7862 3.9061 1.6224
4.7458 9.2367 9.6278
3.1393 6.0906 1.6617
4.0995 0.8594 3.9720
4.8751 7.4581 7.3108
4.4537 3.0438 4.0125
5.2545 2.4322 7.3109
4.7470 6.4611 3.9981
5.5751 4.6483 7.2663
6.4863 7.8520 9.6307
4.8774 4.6834 1.6796
6.8026 1.7225 9.5870
```

Main lines, by angle (10° ≤ 2θ ≤ 90°):
2θ/deg  I (rel.)
15.7  100
21.9  64
30.1  78
40.7  12
40.7  25
43.3  14
44.7  9
48.3  12
49.8  19
58.7  8



(4)
Structure and computed powder XRD pattern of Li2MnOF3 (DFT lattice parameters and positions (PBE+U); Cu Kα).

Structure:
```
Li2MnOF3
1.0
2.8840 0.0000 0.0000
0.0000 10.2741 0.0000
-0.0031 0.0000 5.0248
Li Mn O F
4 2 2 6
Cartesian
0.0027 0.0000 1.2731
0.0042 9.6173 3.7225
2.8767 4.4802 1.3023
2.8782 5.1371 3.7517
1.4368 7.2113 1.3735
1.4441 2.0742 3.6513
0.0027 1.2867 2.7410
2.8782 6.4237 2.2838
0.0012 2.8912 4.7861
1.4370 5.3611 0.0594
1.4375 3.9768 2.6150
1.4434 9.1138 2.4098
1.4439 0.2241 4.9653
2.8797 8.0283 0.2387
```

Main lines, by angle (10° ≤ 2θ ≤ 90°):
2θ/deg  I (rel.)
17.3  26
19.7  100
31.6  24
37.0  22
39.4  19
40.1  24
44.9  10
51.4  34
58.1  12
63.1  11



(5)
Structure and computed powder XRD pattern of Ba2YCr3O8 (DFT lattice parameters and positions (PBE+U); Cu Kα).

Structure:
```
Ba2YCr3O8
1.0
3.9744 0.0000 0.0000
0.0000 3.9728 0.0000
-0.0132 0.0000 11.8077
Ba Y Cr O
2 1 3 8
Cartesian
-0.0021 0.0000 1.9120
3.9634 0.0000 9.8957
-0.0066 0.0000 5.9039
1.9872 1.9864 0.0000
1.9826 1.9864 4.0433
1.9786 1.9864 7.7644
0.0000 1.9864 0.0000
-0.0050 1.9864 4.4963
3.9663 1.9864 7.3114
1.9872 0.0000 0.0000
1.9823 0.0000 4.4962
1.9790 0.0000 7.3115
1.9848 1.9864 2.1294
1.9765 1.9864 9.6784
```

Main lines, by angle (10° ≤ 2θ ≤ 90°):
2θ/deg  I (rel.)
22.4  12
31.8  44
32.0  100
39.4  21
45.7  32
46.1  11
56.8  37
57.1  21
66.6  9
66.9  14



(6)
Structure and computed powder XRD pattern of MgZn2Fe4O8 (DFT lattice parameters and positions (PBE+U); Cu Kα).

Structure:
```
MgZn2Fe4O8
1.0
2.9938 1.7285 5.3148
-2.9938 1.7285 5.3148
0.0000 -3.4569 5.3148
Mg Zn Fe O
1 2 4 8
Cartesian
0.0000 0.0000 0.0000
0.0000 0.0000 8.1468
0.0000 0.0000 13.5600
-1.4909 -0.8608 5.4035
0.0000 0.0000 2.4700
1.4909 -0.8608 5.4035
0.0000 1.7216 5.4035
0.0000 -1.7847 6.7108
-1.5456 0.8924 6.7108
-1.5062 -0.8696 9.4514
0.0000 0.0000 4.3095
0.0000 0.0000 11.7197
1.5062 -0.8696 9.4514
0.0000 1.7392 9.4514
1.5456 0.8924 6.7109
```

Main lines, by angle (10° ≤ 2θ ≤ 90°):
2θ/deg  I (rel.)
29.8  43
33.7  24
34.4  100
35.1  39
41.6  52
45.6  22
53.6  21
55.9  23
58.4  31
62.0  44